Computed powder X-ray diffraction pattern
Compound: Sn5Se5Cl
Radiation: copper Kα
Structure: a cell relaxed with PBE
No peak broadening, texture or thermal motion is included.

Cell and atoms:
abc: 7.264 7.264 8.614
angles: 106.88 106.88 48.19
Element x y z (fractional)
Sn  0.000  0.000  0.000
Sn  0.325  0.325  0.180
Sn  0.334  0.334  0.641
Sn  0.666  0.666  0.359
Sn  0.675  0.675  0.820
Se  0.167  0.167  0.332
Se  0.172  0.172  0.849
Se  0.500  0.500  0.500
Se  0.828  0.828  0.151
Se  0.833  0.833  0.668
Cl  0.500  0.500  0.000

Peak list (10 most intense, 10° ≤ 2θ ≤ 90°, by angle)
2theta, Rel. int.
18.52, 33.0
29.64, 100.0
29.85, 95.9
30.13, 99.1
41.95, 35.2
42.77, 73.6
42.93, 71.1
43.19, 46.5
52.52, 35.7
53.55, 38.4